Structure and computed PXRD pattern of SbS24I3 (DFT lattice parameters and positions (PBE); a wavelength of 1.5418 Å).

Atomic structure:
```
SbS24I3
1.0
13.2232 7.6344 1.6765
-13.2232 7.6344 1.6765
0.0000 -15.2689 1.6765
Sb S I
1 24 3
direct
0.0000 0.0000 0.0000
0.0839 0.3455 0.4728
0.0839 0.4728 0.3455
0.1765 0.3562 0.8286
0.1765 0.8286 0.3562
0.1977 0.1977 0.9161
0.1977 0.9161 0.1977
0.3373 0.3373 0.7432
0.3373 0.7432 0.3373
0.3455 0.0840 0.4728
0.3455 0.4728 0.0839
0.3562 0.1765 0.8286
0.3562 0.8286 0.1765
0.4433 0.5706 0.9613
0.4433 0.9613 0.5706
0.4728 0.0840 0.3455
0.4728 0.3455 0.0839
0.5706 0.4433 0.9613
0.5706 0.9613 0.4433
0.7432 0.3373 0.3373
0.8286 0.1765 0.3562
0.8286 0.3562 0.1765
0.9161 0.1977 0.1977
0.9613 0.4433 0.5706
0.9613 0.5706 0.4433
0.6804 0.6804 0.8395
0.6804 0.8395 0.6804
0.8395 0.6804 0.6804
```

Top 10 peaks for 2θ = 10–90°, by angle:
- d 6.612, 13.39 deg, rel. 20
- d 4.605, 19.28 deg, rel. 100
- d 3.943, 22.55 deg, rel. 18
- d 3.817, 23.30 deg, rel. 18
- d 3.667, 24.27 deg, rel. 63
- d 3.387, 26.32 deg, rel. 34
- d 3.184, 28.02 deg, rel. 24
- d 3.014, 29.64 deg, rel. 25
- d 2.869, 31.18 deg, rel. 24
- d 1.889, 48.17 deg, rel. 16